This entry pairs a crystal structure of GaSn3Pd3 with its computed powder diffraction line list. Radiation: a wavelength of 1.5418 Å. Structure: a DFT-relaxed cell (PBE, Alexandria).
Intensities are scaled so that the largest is 1000.

Largest 12 diffraction maxima, by intensity, 15° ≤ 2θ ≤ 90°:
two_theta, I/Imax, (hkl)
39.59, 1000, 2 2 2
39.06, 418, 2 2 -2
34.42, 365, 2 0 -2
32.13, 327, 1 3 -1
36.34, 305, 0 4 0
37.05, 298, 1 3 -2
42.62, 291, 0 0 4
35.56, 245, 1 1 -3
44.25, 217, 1 3 -3
30.39, 214, 1 3 0
75.41, 198, 4 2 -4
76.70, 166, 1 7 -3

Structural model:
Cell lengths 6.5232, 9.8880, 8.4861 Å; angles 90.00, 90.99, 90.00 degrees
Space group C2/m (No. 12)
Asymmetric unit:
Ga (0.1989, 0.0000, 0.0481)
Sn (0.0000, 0.2834, 0.0000)
Sn (0.0000, 0.3388, 0.5000)
Sn (0.0477, 0.0000, 0.6749)
Pd (0.0594, 0.5000, 0.2158)
Pd (0.2262, 0.2156, 0.2603)

=====

This entry pairs a crystal structure of SrGa2SnPd5 with its computed powder diffraction line list. Radiation: a wavelength of 1.5418 Å. Structure: a DFT-relaxed cell (PBE, Alexandria).
Intensities are scaled so that the largest is 1000.

Largest 12 diffraction maxima, by intensity, 15° ≤ 2θ ≤ 90°:
two_theta, I/Imax, (hkl)
35.50, 1000, 1 1 2
37.12, 946, 2 0 0
65.86, 350, 3 1 2
53.50, 325, 2 2 0
52.62, 233, 2 0 3
35.93, 179, 0 0 3
40.62, 152, 1 0 3
30.14, 133, 1 0 2
48.55, 132, 0 0 4
62.66, 129, 2 0 4
56.19, 117, 2 1 3
66.14, 114, 2 2 3

Structural model:
Cell lengths 4.8444, 4.8444, 7.4983 Å; angles 90.00, 90.00, 90.00 degrees
Space group P4/mmm (No. 123)
Asymmetric unit:
Sr (0.0000, 0.0000, 0.0000)
Ga (0.5000, 0.5000, 0.3299)
Sn (0.0000, 0.0000, 0.5000)
Pd (0.0000, 0.5000, 0.2918)
Pd (0.5000, 0.5000, 0.0000)

=====

This entry pairs a crystal structure of UGaSnPd with its computed powder diffraction line list. Radiation: a wavelength of 1.5418 Å. Structure: a DFT-relaxed cell (PBE, Alexandria).
Intensities are scaled so that the largest is 1000.

Largest 12 diffraction maxima, by intensity, 15° ≤ 2θ ≤ 90°:
two_theta, I/Imax, (hkl)
36.77, 1000, 2 2 0
66.22, 366, 4 2 2
52.98, 177, 4 0 0
89.70, 174, 6 2 0
25.77, 118, 2 0 0
78.22, 117, 4 4 0
22.27, 101, 1 1 1
43.41, 56, 3 1 1
59.83, 55, 4 2 0
45.45, 38, 2 2 2
83.99, 31, 6 0 0
58.16, 24, 3 3 1

Structural model:
Cell lengths 6.9135, 6.9135, 6.9135 Å; angles 90.00, 90.00, 90.00 degrees
Space group F-43m (No. 216)
Asymmetric unit:
U (0.0000, 0.0000, 0.0000)
Ga (0.2500, 0.2500, 0.2500)
Sn (0.0000, 0.0000, 0.5000)
Pd (0.2500, 0.2500, 0.7500)

=====

This entry pairs a crystal structure of Sr3Ga2Pd6 with its computed powder diffraction line list. Radiation: a wavelength of 1.5418 Å. Structure: a DFT-relaxed cell (PBE, Alexandria).
Intensities are scaled so that the largest is 1000.

Largest 12 diffraction maxima, by intensity, 15° ≤ 2θ ≤ 90°:
two_theta, I/Imax, (hkl)
39.00, 1000, 3 3 0
34.25, 288, 3 2 1
70.65, 263, 6 3 3
36.69, 175, 4 0 0
58.03, 151, 5 3 2
28.82, 150, 3 1 0
41.21, 149, 4 2 0
83.78, 122, 6 6 0
62.93, 116, 6 2 2
56.34, 106, 6 0 0
54.62, 79, 4 3 3
47.31, 78, 5 1 0

Structural model:
Cell lengths 9.7973, 9.7973, 9.7973 Å; angles 90.00, 90.00, 90.00 degrees
Space group Im-3m (No. 229)
Asymmetric unit:
Sr (0.0000, 0.0000, 0.2991)
Ga (0.2500, 0.2500, 0.2500)
Pd (0.0000, 0.3218, 0.3218)

=====

This entry pairs a crystal structure of SrGa9Pd3 with its computed powder diffraction line list. Radiation: a wavelength of 1.5418 Å. Structure: a DFT-relaxed cell (PBE, Alexandria).
Intensities are scaled so that the largest is 1000.

Largest 12 diffraction maxima, by intensity, 15° ≤ 2θ ≤ 90°:
two_theta, I/Imax, (hkl)
39.41, 1000, 0 4 2
38.45, 700, 2 2 -2
37.68, 586, 2 2 0
43.12, 422, 2 4 -1
19.41, 310, 0 2 1
39.26, 279, 1 5 -1
44.16, 269, 0 2 3
33.26, 263, 1 3 1
43.66, 245, 2 0 -3
44.41, 233, 0 6 1
42.32, 231, 2 0 1
39.08, 202, 1 5 0

Structural model:
Cell lengths 5.5282, 12.8927, 6.9792 Å; angles 90.00, 111.59, 90.00 degrees
Space group C2/m (No. 12)
Asymmetric unit:
Sr (0.0000, 0.0000, 0.0000)
Ga (0.0000, 0.0000, 0.5000)
Ga (0.1013, 0.3904, 0.2134)
Ga (0.1783, 0.1799, 0.3470)
Pd (0.0000, 0.5000, 0.5000)
Pd (0.2500, 0.2500, 0.0000)

=====

This entry pairs a crystal structure of Sr3GaPd2 with its computed powder diffraction line list. Radiation: a wavelength of 1.5418 Å. Structure: a DFT-relaxed cell (PBE, Alexandria).
Intensities are scaled so that the largest is 1000.

Largest 12 diffraction maxima, by intensity, 15° ≤ 2θ ≤ 90°:
two_theta, I/Imax, (hkl)
28.91, 1000, 0 1 3
37.19, 682, 2 0 5
41.34, 640, 0 2 0
32.66, 613, 3 1 2
29.32, 535, 4 0 1
37.92, 521, 4 1 2
30.39, 520, 3 1 1
40.64, 490, 3 0 5
28.39, 451, 2 1 2
51.50, 349, 7 0 1
29.79, 321, 1 1 3
15.26, 318, 1 0 2

Structural model:
Cell lengths 12.5289, 4.3681, 13.1031 Å; angles 90.00, 90.00, 90.00 degrees
Space group Pnma (No. 62)
Asymmetric unit:
Sr (0.0660, 0.2500, 0.1170)
Sr (0.1232, 0.7500, 0.5539)
Sr (0.1919, 0.2500, 0.8055)
Ga (0.1277, 0.2500, 0.3617)
Pd (0.0378, 0.7500, 0.3156)
Pd (0.2011, 0.7500, 0.9749)

=====

This entry pairs a crystal structure of SrZnGa2Pd with its computed powder diffraction line list. Radiation: a wavelength of 1.5418 Å. Structure: a DFT-relaxed cell (PBE, Alexandria).
Intensities are scaled so that the largest is 1000.

Largest 12 diffraction maxima, by intensity, 15° ≤ 2θ ≤ 90°:
two_theta, I/Imax, (hkl)
33.13, 1000, 1 1 2
40.17, 731, 2 0 0
32.80, 605, 1 0 3
45.29, 339, 1 1 4
52.79, 306, 2 1 3
58.11, 240, 2 2 0
68.55, 231, 3 1 2
61.29, 192, 1 1 6
17.18, 177, 0 0 2
48.54, 167, 1 0 5
87.14, 150, 2 0 8
64.78, 139, 2 1 5

Structural model:
Cell lengths 4.4896, 4.4896, 10.3206 Å; angles 90.00, 90.00, 90.00 degrees
Space group I-4m2 (No. 119)
Asymmetric unit:
Sr (0.0000, 0.0000, 0.0000)
Zn (0.0000, 0.5000, 0.7500)
Ga (0.0000, 0.0000, 0.3719)
Pd (0.0000, 0.5000, 0.2500)

=====

This entry pairs a crystal structure of Ta2GaPd9 with its computed powder diffraction line list. Radiation: a wavelength of 1.5418 Å. Structure: a DFT-relaxed cell (PBE, Alexandria).
Intensities are scaled so that the largest is 1000.

Largest 12 diffraction maxima, by intensity, 15° ≤ 2θ ≤ 90°:
two_theta, I/Imax, (hkl)
39.47, 1000, 1 1 3
45.90, 485, 2 0 0
80.57, 362, 3 1 3
66.93, 307, 2 2 0
84.97, 106, 2 2 6
27.10, 24, 1 0 2
22.48, 16, 1 0 0
23.71, 15, 1 0 1
44.55, 14, 1 0 5
32.01, 14, 1 1 0
50.46, 9, 1 1 5
35.49, 8, 1 1 2

Structural model:
Cell lengths 3.9553, 3.9553, 11.8561 Å; angles 90.00, 90.00, 90.00 degrees
Space group P4/mmm (No. 123)
Asymmetric unit:
Ta (0.0000, 0.0000, 0.1729)
Ga (0.0000, 0.0000, 0.5000)
Pd (0.0000, 0.5000, 0.0000)
Pd (0.0000, 0.5000, 0.3303)
Pd (0.5000, 0.5000, 0.1645)
Pd (0.5000, 0.5000, 0.5000)

=====

This entry pairs a crystal structure of TaGaPd5 with its computed powder diffraction line list. Radiation: a wavelength of 1.5418 Å. Structure: a DFT-relaxed cell (PBE, Alexandria).
Intensities are scaled so that the largest is 1000.

Largest 12 diffraction maxima, by intensity, 15° ≤ 2θ ≤ 90°:
two_theta, I/Imax, (hkl)
42.32, 1000, 2 4 -1
39.48, 750, 1 3 -2
38.46, 708, 4 0 -2
45.08, 651, 3 1 1
48.49, 508, 1 3 2
25.24, 462, 1 1 1
43.77, 461, 3 3 0
32.76, 364, 3 1 -2
24.33, 360, 0 2 1
44.26, 335, 1 1 -3
38.31, 333, 2 2 1
21.84, 277, 2 0 0

Structural model:
Cell lengths 9.5961, 9.6000, 6.6609 Å; angles 90.00, 121.99, 90.00 degrees
Space group C2/c (No. 15)
Asymmetric unit:
Ta (0.0000, 0.0437, 0.2500)
Ga (0.0000, 0.5000, 0.0000)
Pd (0.0000, 0.3120, 0.2500)
Pd (0.1163, 0.1844, 0.0008)
Pd (0.2108, 0.0993, 0.6890)

=====

This entry pairs a crystal structure of Tb2Ga8Pd with its computed powder diffraction line list. Radiation: a wavelength of 1.5418 Å. Structure: a DFT-relaxed cell (PBE, Alexandria).
Intensities are scaled so that the largest is 1000.

Largest 12 diffraction maxima, by intensity, 15° ≤ 2θ ≤ 90°:
two_theta, I/Imax, (hkl)
38.01, 1000, 1 1 3
41.67, 509, 2 0 0
73.63, 308, 3 1 3
33.34, 262, 1 1 2
20.49, 239, 1 0 0
60.39, 166, 2 2 0
59.39, 161, 2 0 5
31.66, 148, 1 0 3
40.34, 128, 0 0 5
74.65, 106, 1 1 8
75.15, 79, 2 2 5
43.84, 75, 1 1 4

Structural model:
Cell lengths 4.3354, 4.3354, 11.1787 Å; angles 90.00, 90.00, 90.00 degrees
Space group P4/mmm (No. 123)
Asymmetric unit:
Tb (0.0000, 0.0000, 0.1899)
Ga (0.0000, 0.5000, 0.0000)
Ga (0.0000, 0.5000, 0.3742)
Ga (0.5000, 0.5000, 0.1935)
Pd (0.0000, 0.0000, 0.5000)

=====

This entry pairs a crystal structure of TbGa3Pd5 with its computed powder diffraction line list. Radiation: a wavelength of 1.5418 Å. Structure: a DFT-relaxed cell (PBE, Alexandria).
Intensities are scaled so that the largest is 1000.

Largest 12 diffraction maxima, by intensity, 15° ≤ 2θ ≤ 90°:
two_theta, I/Imax, (hkl)
38.86, 1000, 1 1 4
39.81, 992, 1 5 0
32.43, 922, 1 1 3
42.36, 806, 2 0 0
37.75, 683, 1 3 3
15.42, 331, 0 2 1
47.47, 329, 0 6 3
43.05, 262, 1 5 2
41.93, 258, 0 4 4
65.48, 226, 2 6 3
27.87, 224, 0 4 1
80.67, 216, 1 9 5

Structural model:
Cell lengths 4.2673, 13.3553, 11.2829 Å; angles 90.00, 90.00, 90.00 degrees
Space group Cmcm (No. 63)
Asymmetric unit:
Tb (0.0000, 0.2273, 0.2500)
Ga (0.0000, 0.0801, 0.7500)
Ga (0.0000, 0.3896, 0.5886)
Pd (0.0000, 0.0000, 0.0000)
Pd (0.0000, 0.2043, 0.5630)
Pd (0.0000, 0.4240, 0.1285)

=====

This entry pairs a crystal structure of Tb3Ga5Pd6 with its computed powder diffraction line list. Radiation: a wavelength of 1.5418 Å. Structure: a DFT-relaxed cell (PBE, Alexandria).
Intensities are scaled so that the largest is 1000.

Largest 12 diffraction maxima, by intensity, 15° ≤ 2θ ≤ 90°:
two_theta, I/Imax, (hkl)
35.29, 1000, 1 3 2
36.43, 659, 0 3 3
41.44, 549, 2 0 0
39.03, 333, 1 2 3
40.09, 235, 1 5 0
41.25, 233, 0 6 0
46.04, 204, 1 1 4
35.67, 193, 1 4 1
56.32, 188, 2 3 3
33.84, 170, 0 4 2
59.90, 152, 2 6 0
68.71, 152, 1 7 4

Structural model:
Cell lengths 4.3576, 13.1309, 8.9668 Å; angles 90.00, 90.00, 90.00 degrees
Space group Pmmn (No. 59, origin choice 2)
Asymmetric unit:
Tb (0.2500, 0.0535, 0.2450)
Tb (0.2500, 0.7500, 0.2379)
Ga (0.2500, 0.0900, 0.8785)
Ga (0.2500, 0.6307, 0.5311)
Ga (0.2500, 0.7500, 0.7801)
Pd (0.2500, 0.0636, 0.5965)
Pd (0.2500, 0.2500, 0.0473)
Pd (0.2500, 0.2500, 0.4228)
Pd (0.2500, 0.6039, 0.9763)